Entry 1:
Computed XRD peak list
Compound: TbCeSm5
Radiation: Cu Ka
Structure: the PBE geometry in Alexandria

Cell and atoms:
Cell lengths 5.384, 5.636, 7.837 Å; angles 101.37, 90.13, 90.26 degrees
Space group P-1 (No. 2)
One atom of each set of equivalent atoms:
Tb (0.000, 0.000, 0.000) [1 per cell]
Ce (0.500, 0.500, 0.500) [1 per cell]
Sm (0.001, 0.649, 0.323) [2 per cell]
Sm (0.498, 0.966, 0.713) [2 per cell]
Sm (0.500, 0.500, 0.000) [1 per cell]

Principal peaks in the range 2θ = 10–90°, sorted by position:
2θ = 27.19°, I 22, (-1 1 1)
2θ = 27.34°, I 22, (1 1 1)
2θ = 30.50°, I 100, (1 1 -2)
2θ = 33.28°, I 40, (2 0 0)
2θ = 35.07°, I 25, (0 0 3)
2θ = 57.76°, I 16, (3 1 -2)

=====

Entry 2:
Computed XRD peak list
Compound: Tb3Ce2SmTm6
Radiation: Cu Ka
Structure: the PBE geometry in Alexandria

Cell and atoms:
Cell lengths 6.101, 10.564, 11.617 Å; angles 90.00, 100.06, 90.00 degrees
Space group C2/m (No. 12)
One atom of each set of equivalent atoms:
Tb (0.000, 0.000, 0.000) [2 per cell]
Tb (0.000, 0.334, 0.000) [4 per cell]
Ce (0.000, 0.167, 0.500) [4 per cell]
Sm (0.000, 0.500, 0.500) [2 per cell]
Tm (0.248, 0.000, 0.749) [4 per cell]
Tm (0.249, 0.168, 0.251) [8 per cell]

Principal peaks in the range 2θ = 10–90°, sorted by position:
2θ = 31.12°, I 100, (1 3 1)
2θ = 31.28°, I 33, (0 0 4)
2θ = 36.14°, I 67, (2 0 2)
2θ = 51.93°, I 24, (0 6 0)
2θ = 52.13°, I 24, (1 3 5)
2θ = 61.82°, I 24, (4 0 0)

=====

Entry 3:
Computed XRD peak list
Compound: Tb5CeSm2Y
Radiation: Cu Ka
Structure: the PBE geometry in Alexandria

Cell and atoms:
Cell lengths 8.584, 8.584, 15.726 Å; angles 90.00, 90.00, 90.00 degrees
Space group I4/mcm (No. 140)
One atom of each set of equivalent atoms:
Tb (0.000, 0.000, 0.000) [4 per cell]
Tb (0.200, 0.300, 0.141) [16 per cell]
Ce (0.000, 0.500, 0.250) [4 per cell]
Sm (0.122, 0.378, 0.500) [8 per cell]
Y (0.000, 0.000, 0.250) [4 per cell]

Principal peaks in the range 2θ = 10–90°, sorted by position:
2θ = 28.83°, I 87, (2 1 3)
2θ = 29.43°, I 48, (2 2 0)
2θ = 30.84°, I 100, (2 0 4)
2θ = 34.97°, I 19, (3 1 2)
2θ = 38.24°, I 19, (3 2 1)
2θ = 46.96°, I 20, (4 1 3)

=====

Entry 4:
Computed XRD peak list
Compound: Ce2Sm3Tc2
Radiation: Cu Ka
Structure: the PBE geometry in Alexandria

Cell and atoms:
Cell lengths 3.891, 6.301, 8.893 Å; angles 110.61, 90.03, 107.95 degrees
Space group P-1 (No. 2)
One atom of each set of equivalent atoms:
Ce (0.173, 0.346, 0.306) [2 per cell]
Sm (0.384, 0.766, 0.085) [2 per cell]
Sm (0.500, 0.000, 0.500) [1 per cell]
Tc (0.204, 0.409, 0.716) [2 per cell]

Principal peaks in the range 2θ = 10–90°, sorted by position:
2θ = 30.44°, I 80, (0 1 -3)
2θ = 31.38°, I 79, (0 1 2)
2θ = 32.16°, I 100, (1 1 -1)
2θ = 34.61°, I 88, (1 0 2)
2θ = 38.38°, I 41, (1 0 -3)
2θ = 46.69°, I 35, (2 -1 0)

=====

Entry 5:
Computed XRD peak list
Compound: Ce2Sm2Te5
Radiation: Cu Ka
Structure: the PBE geometry in Alexandria

Cell and atoms:
Cell lengths 15.993, 8.400, 8.394 Å; angles 90.00, 90.00, 90.00 degrees
Space group Cmce (No. 64)
One atom of each set of equivalent atoms:
Ce (0.196, 0.000, 0.000) [8 per cell]
Sm (0.000, 0.147, 0.349) [8 per cell]
Te (0.000, 0.000, 0.000) [4 per cell]
Te (0.138, 0.158, 0.654) [16 per cell]

Principal peaks in the range 2θ = 10–90°, sorted by position:
2θ = 29.09°, I 77, (3 1 2)
2θ = 30.10°, I 28, (0 2 2)
2θ = 32.71°, I 62, (4 2 1)
2θ = 34.23°, I 100, (1 3 1)
2θ = 44.34°, I 34, (5 1 3)
2θ = 62.02°, I 31, (7 3 3)

=====

Entry 6:
Computed XRD peak list
Compound: Ce4Sm3Te8
Radiation: Cu Ka
Structure: the PBE geometry in Alexandria

Cell and atoms:
Cell lengths 8.8743, 8.8743, 24.7312 Å; angles 90.00, 90.00, 120.00 degrees
Space group R-3m (No. 166, hexagonal axes)
One atom of each set of equivalent atoms:
Ce (0.0000, 0.0000, 0.0000) [3 per cell]
Ce (0.0000, 0.0000, 0.1425) [6 per cell]
Ce (0.0000, 0.0000, 0.5000) [3 per cell]
Sm (0.0000, 0.5000, 0.0000) [9 per cell]
Te (0.0000, 0.0000, 0.2654) [6 per cell]
Te (0.0106, 0.5053, 0.2547) [18 per cell]

Principal peaks in the range 2θ = 10–90°, sorted by position:
2θ = 23.43°, I 23, (0 2 1)
2θ = 27.33°, I 100, (0 2 4)
2θ = 34.48°, I 28, (0 2 7)
2θ = 37.33°, I 68, (2 0 8)
2θ = 40.67°, I 65, (2 2 0)
2θ = 61.41°, I 24, (2 2 12)

=====

Entry 7:
Computed XRD peak list
Compound: Ce2SmTh7
Radiation: Cu Ka
Structure: the PBE geometry in Alexandria

Cell and atoms:
Cell lengths 18.085, 4.994, 7.090 Å; angles 90.00, 101.70, 90.00 degrees
Space group C2/m (No. 12)
One atom of each set of equivalent atoms:
Ce (0.199, 0.000, 0.100) [4 per cell]
Sm (0.000, 0.000, 0.500) [2 per cell]
Th (0.000, 0.000, 0.000) [2 per cell]
Th (0.101, 0.500, 0.300) [4 per cell]
Th (0.103, 0.500, 0.804) [4 per cell]
Th (0.201, 0.000, 0.603) [4 per cell]

Principal peaks in the range 2θ = 10–90°, sorted by position:
2θ = 30.94°, I 100, (5 1 0)
2θ = 35.71°, I 17, (6 0 -2)
2θ = 35.97°, I 34, (0 2 0)
2θ = 51.59°, I 25, (6 2 -2)
2θ = 61.21°, I 15, (7 1 -4)
2θ = 61.55°, I 29, (5 3 0)

=====

Entry 8:
Computed XRD peak list
Compound: CeSm2Th5
Radiation: Cu Ka
Structure: the PBE geometry in Alexandria

Cell and atoms:
Cell lengths 7.260, 7.260, 5.513 Å; angles 90.00, 90.00, 90.00 degrees
Space group P4/mmm (No. 123)
One atom of each set of equivalent atoms:
Ce (0.000, 0.000, 0.000) [1 per cell]
Sm (0.000, 0.500, 0.500) [2 per cell]
Th (0.000, 0.000, 0.500) [1 per cell]
Th (0.278, 0.278, 0.000) [4 per cell]

Principal peaks in the range 2θ = 10–90°, sorted by position:
2θ = 27.47°, I 21, (2 1 0)
2θ = 29.46°, I 100, (2 0 1)
2θ = 32.48°, I 32, (0 0 2)
2θ = 34.96°, I 45, (2 2 0)
2θ = 48.46°, I 37, (2 2 2)
2θ = 59.35°, I 20, (4 2 1)

=====

Entry 9:
Computed XRD peak list
Compound: CeSm2Th12
Radiation: Cu Ka
Structure: the PBE geometry in Alexandria

Cell and atoms:
Cell lengths 3.467, 5.794, 24.872 Å; angles 90.00, 90.00, 90.00 degrees
Space group Pmmm (No. 47)
One atom of each set of equivalent atoms:
Ce (0.000, 0.000, 0.000) [1 per cell]
Sm (0.000, 0.000, 0.265) [2 per cell]
Th (0.000, 0.500, 0.068) [2 per cell]
Th (0.000, 0.500, 0.437) [2 per cell]
Th (0.500, 0.000, 0.124) [2 per cell]
Th (0.500, 0.000, 0.418) [2 per cell]
Th (0.500, 0.500, 0.193) [2 per cell]
Th (0.500, 0.500, 0.321) [2 per cell]

Principal peaks in the range 2θ = 10–90°, sorted by position:
2θ = 29.49°, I 31, (0 1 7)
2θ = 30.88°, I 100, (0 2 0)
2θ = 32.69°, I 44, (0 1 8)
2θ = 33.39°, I 20, (1 1 4)
2θ = 37.20°, I 35, (1 1 6)
2θ = 63.50°, I 14, (2 1 8)

=====

Entry 10:
Computed XRD peak list
Compound: CeSm6Tl5
Radiation: Cu Ka
Structure: the PBE geometry in Alexandria

Cell and atoms:
Cell lengths 10.545, 11.633, 6.241 Å; angles 90.00, 103.84, 90.00 degrees
Space group C2/m (No. 12)
One atom of each set of equivalent atoms:
Ce (0.000, 0.000, 0.000) [2 per cell]
Sm (0.225, 0.500, 0.224) [4 per cell]
Sm (0.227, 0.319, 0.734) [8 per cell]
Tl (0.000, 0.137, 0.500) [4 per cell]
Tl (0.000, 0.302, 0.000) [4 per cell]
Tl (0.000, 0.500, 0.500) [2 per cell]

Principal peaks in the range 2θ = 10–90°, sorted by position:
2θ = 29.76°, I 100, (1 3 1)
2θ = 30.48°, I 51, (2 0 -2)
2θ = 35.06°, I 31, (4 0 0)
2θ = 35.51°, I 56, (3 3 -1)
2θ = 37.97°, I 30, (2 0 2)
2θ = 49.78°, I 22, (1 3 -3)

=====

Entry 11:
Computed XRD peak list
Compound: CeSm2Tl4
Radiation: Cu Ka
Structure: the PBE geometry in Alexandria

Cell and atoms:
Cell lengths 5.342, 5.342, 7.732 Å; angles 90.00, 90.00, 90.00 degrees
Space group P4/mmm (No. 123)
One atom of each set of equivalent atoms:
Ce (0.000, 0.000, 0.000) [1 per cell]
Sm (0.000, 0.000, 0.500) [1 per cell]
Sm (0.500, 0.500, 0.000) [1 per cell]
Tl (0.000, 0.500, 0.270) [4 per cell]

Principal peaks in the range 2θ = 10–90°, sorted by position:
2θ = 33.16°, I 100, (1 1 2)
2θ = 33.55°, I 50, (2 0 0)
2θ = 48.18°, I 19, (2 2 0)
2θ = 58.98°, I 17, (2 0 4)
2θ = 59.74°, I 38, (3 1 2)
2θ = 69.59°, I 11, (2 2 4)

=====

Entry 12:
Computed XRD peak list
Compound: CeSmTl6
Radiation: Cu Ka
Structure: the PBE geometry in Alexandria

Cell and atoms:
Cell lengths 4.819, 4.819, 9.628 Å; angles 90.00, 90.00, 90.00 degrees
Space group P4/mmm (No. 123)
One atom of each set of equivalent atoms:
Ce (0.000, 0.000, 0.000) [1 per cell]
Sm (0.000, 0.000, 0.500) [1 per cell]
Tl (0.000, 0.500, 0.251) [4 per cell]
Tl (0.500, 0.500, 0.000) [1 per cell]
Tl (0.500, 0.500, 0.500) [1 per cell]

Principal peaks in the range 2θ = 10–90°, sorted by position:
2θ = 32.18°, I 100, (1 1 2)
2θ = 37.33°, I 51, (2 0 0)
2θ = 53.83°, I 36, (2 2 0)
2θ = 64.11°, I 42, (3 1 2)
2θ = 67.33°, I 12, (2 2 4)
2θ = 88.46°, I 19, (3 3 2)